1.
The following is a calculated X-ray diffraction stick pattern of Cr2AgSe4. It was derived from a GGA-PBE-relaxed structure, using copper Kα.
Intensities are scaled so that the largest is 100.

Largest 6 diffraction maxima, most intense first, 5° ≤ 2θ ≤ 70°:
| Position (°2θ) | I (rel.) |
| --- | --- |
| 48.04 | 100 |
| 43.91 | 55 |
| 27.61 | 55 |
| 33.46 | 50 |
| 23.49 | 43 |
| 28.87 | 43 |

Atomic structure:
```
Cr2AgSe4
1.0
0.0000 5.3567 5.3567
5.3567 0.0000 5.3567
5.3567 5.3567 0.0000
Cr Ag Se
4 2 8
direct
0.0000 0.0000 0.0000
0.0000 0.0000 0.5000
0.0000 0.5000 0.0000
0.5000 0.0000 0.0000
0.3750 0.3750 0.3750
0.6250 0.6250 0.6250
0.2073 0.7642 0.7642
0.2358 0.2358 0.2358
0.2358 0.2358 0.7927
0.2358 0.7927 0.2358
0.7642 0.2073 0.7642
0.7642 0.7642 0.2073
0.7642 0.7642 0.7642
0.7927 0.2358 0.2358
```



2.
The following is a calculated X-ray diffraction stick pattern of Cr2TcAg. It was derived from a GGA-PBE-relaxed structure, using copper Kα.
Intensities are scaled so that the largest is 100.

Largest 6 diffraction maxima, most intense first, 5° ≤ 2θ ≤ 70°:
| Position (°2θ) | I (rel.) |
| --- | --- |
| 42.33 | 100 |
| 41.65 | 28 |
| 41.31 | 21 |
| 30.68 | 16 |
| 10.12 | 16 |
| 38.19 | 15 |

Atomic structure:
```
Cr2TcAg
1.0
1.4822 -2.1686 0.0000
1.4822 2.1686 0.0000
0.0000 0.0000 8.7425
Cr Tc Ag
2 1 1
direct
0.0000 0.0000 0.0000
0.5000 0.5000 0.2058
0.5000 0.5000 0.7651
0.0000 0.0000 0.4778
```



3.
The following is a calculated X-ray diffraction stick pattern of CrAgTe4. It was derived from a GGA-PBE-relaxed structure, using copper Kα.
Intensities are scaled so that the largest is 100.

Largest 6 diffraction maxima, most intense first, 5° ≤ 2θ ≤ 70°:
| Position (°2θ) | I (rel.) |
| --- | --- |
| 29.52 | 100 |
| 28.93 | 50 |
| 42.26 | 34 |
| 41.36 | 22 |
| 43.87 | 22 |
| 41.21 | 21 |

Atomic structure:
```
CrAgTe4
1.0
5.4911 0.0000 0.0000
0.0000 4.1278 0.0000
-0.0584 0.0000 7.5019
Cr Ag Te
1 1 4
direct
0.0000 0.0000 0.0000
0.0000 0.5000 0.5000
0.2236 0.0000 0.3198
0.2906 0.5000 0.8822
0.7094 0.5000 0.1178
0.7764 0.0000 0.6802
```



4.
The following is a calculated X-ray diffraction stick pattern of YCrAg4. It was derived from a GGA-PBE-relaxed structure, using copper Kα.
Intensities are scaled so that the largest is 100.

Largest 6 diffraction maxima, most intense first, 5° ≤ 2θ ≤ 70°:
| Position (°2θ) | I (rel.) |
| --- | --- |
| 38.01 | 100 |
| 39.76 | 55 |
| 61.35 | 31 |
| 67.47 | 28 |
| 19.58 | 26 |
| 32.24 | 15 |

Atomic structure:
```
YCrAg4
1.0
0.0000 3.9262 3.9262
3.9262 0.0000 3.9262
3.9262 3.9262 0.0000
Y Cr Ag
1 1 4
direct
0.0000 0.0000 0.0000
0.2500 0.2500 0.2500
0.1265 0.6245 0.6245
0.6245 0.1265 0.6245
0.6245 0.6245 0.1265
0.6245 0.6245 0.6245
```



5.
The following is a calculated X-ray diffraction stick pattern of ZrCr3Ag. It was derived from a GGA-PBE-relaxed structure, using copper Kα.
Intensities are scaled so that the largest is 100.

Largest 6 diffraction maxima, most intense first, 5° ≤ 2θ ≤ 70°:
| Position (°2θ) | I (rel.) |
| --- | --- |
| 37.38 | 100 |
| 26.19 | 88 |
| 53.90 | 65 |
| 32.22 | 50 |
| 46.22 | 37 |
| 67.43 | 21 |

Atomic structure:
```
ZrCr3Ag
1.0
4.8115 0.0000 0.0000
0.0000 4.8115 0.0000
0.0000 0.0000 4.8115
Zr Cr Ag
1 3 1
direct
0.0000 0.0000 0.0000
0.0000 0.0000 0.5000
0.0000 0.5000 0.0000
0.5000 0.0000 0.0000
0.5000 0.5000 0.5000
```



6.
The following is a calculated X-ray diffraction stick pattern of Cs2Ag3. It was derived from a GGA-PBE-relaxed structure, using copper Kα.
Intensities are scaled so that the largest is 100.

Largest 6 diffraction maxima, most intense first, 5° ≤ 2θ ≤ 70°:
| Position (°2θ) | I (rel.) |
| --- | --- |
| 7.99 | 100 |
| 36.63 | 38 |
| 21.59 | 23 |
| 24.14 | 21 |
| 30.19 | 13 |
| 37.51 | 12 |

Atomic structure:
```
Cs2Ag3
1.0
4.2483 -2.4539 0.0000
4.2483 2.4539 0.0000
-2.7028 0.0000 11.0623
Cs Ag
2 3
direct
0.2441 0.2441 0.2191
0.7559 0.7559 0.7809
0.0000 0.0000 0.5000
0.3430 0.3430 0.5306
0.6570 0.6570 0.4694
```



7.
The following is a calculated X-ray diffraction stick pattern of Cs3Ag. It was derived from a GGA-PBE-relaxed structure, using copper Kα.
Intensities are scaled so that the largest is 100.

Largest 6 diffraction maxima, most intense first, 5° ≤ 2θ ≤ 70°:
| Position (°2θ) | I (rel.) |
| --- | --- |
| 23.68 | 100 |
| 21.02 | 74 |
| 27.33 | 70 |
| 35.46 | 58 |
| 19.87 | 38 |
| 32.12 | 38 |

Atomic structure:
```
Cs3Ag
1.0
-2.5319 7.1967 4.4691
2.5319 -7.1967 4.4691
2.5319 7.1967 -4.4691
Cs Ag
3 1
direct
0.0000 0.0000 0.0000
0.3116 0.4820 0.8296
0.6525 0.4820 0.1704
0.3131 0.8131 0.5000
```



8.
The following is a calculated X-ray diffraction stick pattern of Cs3Ag2. It was derived from a GGA-PBE-relaxed structure, using copper Kα.
Intensities are scaled so that the largest is 100.

Largest 6 diffraction maxima, most intense first, 5° ≤ 2θ ≤ 70°:
| Position (°2θ) | I (rel.) |
| --- | --- |
| 21.78 | 100 |
| 32.21 | 59 |
| 29.75 | 52 |
| 13.10 | 24 |
| 22.68 | 22 |
| 39.21 | 21 |

Atomic structure:
```
Cs3Ag2
1.0
4.8143 2.7795 7.6855
-4.8143 2.7795 7.6855
0.0000 -5.5590 7.6855
Cs Ag
6 4
direct
0.1066 0.7500 0.3934
0.2500 0.6066 0.8934
0.3934 0.1066 0.7500
0.6066 0.8934 0.2500
0.7500 0.3934 0.1066
0.8934 0.2500 0.6066
0.1874 0.1874 0.1874
0.3126 0.3126 0.3126
0.6874 0.6874 0.6874
0.8126 0.8126 0.8126
```



9.
The following is a calculated X-ray diffraction stick pattern of Cs2CuAg2. It was derived from a GGA-PBE-relaxed structure, using copper Kα.
Intensities are scaled so that the largest is 100.

Largest 6 diffraction maxima, most intense first, 5° ≤ 2θ ≤ 70°:
| Position (°2θ) | I (rel.) |
| --- | --- |
| 32.35 | 100 |
| 30.12 | 99 |
| 35.43 | 87 |
| 52.76 | 54 |
| 44.80 | 47 |
| 24.48 | 45 |

Atomic structure:
```
Cs2CuAg2
1.0
-2.0231 2.0231 10.9097
2.0231 -2.0231 10.9097
2.0231 2.0231 -10.9097
Cs Cu Ag
2 1 2
direct
0.1047 0.1047 0.0000
0.8953 0.8953 0.0000
0.5000 0.5000 0.0000
0.2500 0.7500 0.5000
0.7500 0.2500 0.5000
```



10.
The following is a calculated X-ray diffraction stick pattern of CsCuAgF4. It was derived from a GGA-PBE-relaxed structure, using copper Kα.
Intensities are scaled so that the largest is 100.

Largest 6 diffraction maxima, most intense first, 5° ≤ 2θ ≤ 70°:
| Position (°2θ) | I (rel.) |
| --- | --- |
| 26.30 | 100 |
| 16.02 | 43 |
| 46.41 | 41 |
| 30.94 | 19 |
| 54.13 | 19 |
| 61.15 | 17 |

Atomic structure:
```
CsCuAgF4
1.0
0.0000 4.7924 4.7924
4.7924 0.0000 4.7924
4.7924 4.7924 0.0000
Cs Cu Ag F
1 1 1 4
direct
0.0000 0.0000 0.0000
0.5000 0.5000 0.5000
0.7500 0.7500 0.7500
0.1527 0.6158 0.6158
0.6158 0.1527 0.6158
0.6158 0.6158 0.1527
0.6158 0.6158 0.6158
```



11.
The following is a calculated X-ray diffraction stick pattern of CsCu2AgI4. It was derived from a GGA-PBE-relaxed structure, using copper Kα.
Intensities are scaled so that the largest is 100.

Largest 6 diffraction maxima, most intense first, 5° ≤ 2θ ≤ 70°:
| Position (°2θ) | I (rel.) |
| --- | --- |
| 23.90 | 100 |
| 24.19 | 75 |
| 30.67 | 48 |
| 13.11 | 40 |
| 40.37 | 33 |
| 47.24 | 30 |

Atomic structure:
```
CsCu2AgI4
1.0
-3.7101 4.7124 4.8377
3.7101 -4.7124 4.8377
3.7101 4.7124 -4.8377
Cs Cu Ag I
1 2 1 4
direct
0.0000 0.0000 0.0000
0.3661 0.8661 0.5000
0.6339 0.1339 0.5000
0.5000 0.5000 0.0000
0.1695 0.0866 0.5894
0.4972 0.5801 0.4106
0.5028 0.9134 0.0829
0.8305 0.4199 0.9171
```



12.
The following is a calculated X-ray diffraction stick pattern of CsCuAgI3. It was derived from a GGA-PBE-relaxed structure, using copper Kα.
Intensities are scaled so that the largest is 100.

Largest 6 diffraction maxima, most intense first, 5° ≤ 2θ ≤ 70°:
| Position (°2θ) | I (rel.) |
| --- | --- |
| 26.81 | 100 |
| 26.99 | 69 |
| 10.58 | 65 |
| 26.11 | 59 |
| 40.75 | 39 |
| 40.46 | 38 |

Atomic structure:
```
CsCuAgI3
1.0
10.3147 0.0000 0.0000
0.0000 4.4276 0.0000
-2.9183 0.0000 10.2379
Cs Cu Ag I
2 2 2 6
direct
0.1915 0.2500 0.2199
0.8085 0.7500 0.7801
0.0623 0.2500 0.5727
0.9377 0.7500 0.4273
0.3495 0.7500 0.8926
0.6505 0.2500 0.1074
0.1303 0.2500 0.8372
0.1979 0.7500 0.5276
0.4743 0.7500 0.1730
0.5257 0.2500 0.8270
0.8021 0.2500 0.4724
0.8697 0.7500 0.1628
```



13.
The following is a calculated X-ray diffraction stick pattern of CsDyAgTe2. It was derived from a GGA-PBE-relaxed structure, using copper Kα.
Intensities are scaled so that the largest is 100.

Largest 6 diffraction maxima, most intense first, 5° ≤ 2θ ≤ 70°:
| Position (°2θ) | I (rel.) |
| --- | --- |
| 29.35 | 100 |
| 34.35 | 66 |
| 28.62 | 65 |
| 41.50 | 60 |
| 10.05 | 56 |
| 27.57 | 46 |

Atomic structure:
```
CsDyAgTe2
1.0
4.7712 0.0000 0.0000
0.0000 8.8010 0.0000
0.0000 0.0000 8.8457
Cs Dy Ag Te
2 2 2 4
direct
0.0000 0.0000 0.2500
0.0000 0.0000 0.7500
0.5000 0.5000 0.2500
0.5000 0.5000 0.7500
0.0000 0.5000 0.0000
0.0000 0.5000 0.5000
0.4636 0.2652 0.0000
0.4636 0.7348 0.5000
0.5364 0.2652 0.5000
0.5364 0.7348 0.0000
```



14.
The following is a calculated X-ray diffraction stick pattern of CsErAg2. It was derived from a GGA-PBE-relaxed structure, using copper Kα.
Intensities are scaled so that the largest is 100.

Largest 6 diffraction maxima, most intense first, 5° ≤ 2θ ≤ 70°:
| Position (°2θ) | I (rel.) |
| --- | --- |
| 31.19 | 100 |
| 33.11 | 68 |
| 10.21 | 40 |
| 57.94 | 34 |
| 48.28 | 27 |
| 47.52 | 24 |

Atomic structure:
```
CsErAg2
1.0
3.8266 0.0000 0.0000
0.0000 3.8266 0.0000
0.0000 0.0000 8.6637
Cs Er Ag
1 1 2
direct
0.0000 0.0000 0.0000
0.0000 0.0000 0.5000
0.5000 0.5000 0.3313
0.5000 0.5000 0.6687
```



15.
The following is a calculated X-ray diffraction stick pattern of CsAg2F4. It was derived from a GGA-PBE-relaxed structure, using copper Kα.
Intensities are scaled so that the largest is 100.

Largest 6 diffraction maxima, most intense first, 5° ≤ 2θ ≤ 70°:
| Position (°2θ) | I (rel.) |
| --- | --- |
| 25.53 | 100 |
| 26.44 | 61 |
| 34.71 | 56 |
| 30.49 | 42 |
| 39.09 | 40 |
| 40.95 | 38 |

Atomic structure:
```
CsAg2F4
1.0
0.0000 5.8253 6.1390
4.0712 0.0000 6.1390
4.0712 5.8253 0.0000
Cs Ag F
2 4 8
direct
0.1250 0.1250 0.1250
0.8750 0.8750 0.8750
0.0000 0.5000 0.5000
0.5000 0.0000 0.5000
0.5000 0.5000 0.0000
0.5000 0.5000 0.5000
0.1919 0.3373 0.6881
0.2828 0.6881 0.3373
0.3119 0.7172 0.8081
0.3373 0.1919 0.2828
0.6627 0.8081 0.7172
0.6881 0.2828 0.1919
0.7172 0.3119 0.6627
0.8081 0.6627 0.3119
```